[1]
Simulated powder diffractogram of Li3V5O12 for Cu Kα X-rays, from a crystal structure in the Materials Project, relaxed with GGA+U.
Lines closer than 0.1° are merged.

Main lines, by angle (15° ≤ 2θ ≤ 90°):
- hkl 0 1 1, 17.6 deg, rel. 43
- hkl 1 1 0, 19.0 deg, rel. 18
- hkl 0 1 -1, 20.8 deg, rel. 11
- hkl 1 1 -1, 27.0 deg, rel. 31
- hkl 1 2 1, 27.6 deg, rel. 12
- hkl 1 2 0, 28.5 deg, rel. 100
- hkl 2 0 0, 34.3 deg, rel. 23
- hkl 1 -2 0, 35.9 deg, rel. 12
- hkl 2 -1 0, 40.2 deg, rel. 15
- hkl 1 1 4, 53.0 deg, rel. 16
- hkl 3 2 0, 53.2 deg, rel. 10
- hkl -2 2 2, 59.9 deg, rel. 13

Atomic structure:
Cell: 5.644 6.912 6.918 Å, 76.11 72.62 72.64°
Space group P1 (No. 1)
Symmetry-distinct sites (fractional):
Li 0.000 0.000 0.000
Li 0.000 0.366 0.634
Li 0.500 0.560 0.440
V 0.015 0.456 0.100
V 0.454 0.116 0.340
V 0.500 0.202 0.798
V 0.546 0.661 0.884
V 0.984 0.900 0.544
O 0.081 0.304 0.326
O 0.110 0.292 0.921
O 0.186 0.644 0.034
O 0.319 0.868 0.433
O 0.419 0.276 0.522
O 0.434 0.928 0.841
O 0.564 0.161 0.073
O 0.579 0.478 0.724
O 0.680 0.567 0.131
O 0.813 0.966 0.356
O 0.889 0.079 0.708
O 0.918 0.674 0.696

=====

[2]
Simulated powder diffractogram of Li4Cr5Sn3O16 for Cu Kα X-rays, from a crystal structure in the Materials Project, relaxed with GGA+U.
Lines closer than 0.1° are merged.

Main lines, by angle (15° ≤ 2θ ≤ 90°):
- hkl 0 0 2, 18.5 deg, rel. 100
- hkl 1 1 1, 19.2 deg, rel. 80
- hkl 2 0 1, 19.3 deg, rel. 30
- hkl 2 0 -2, 25.0 deg, rel. 24
- hkl 2 0 2, 25.2 deg, rel. 23
- hkl 2 2 0, 34.0 deg, rel. 24
- hkl 0 2 2, 34.9 deg, rel. 35
- hkl 4 0 -1, 35.3 deg, rel. 81
- hkl 4 0 -3, 44.4 deg, rel. 41
- hkl 2 2 3, 44.6 deg, rel. 28
- hkl 2 2 -5, 59.4 deg, rel. 27
- hkl 6 2 0, 61.0 deg, rel. 30

Atomic structure:
Cell: 10.522 6.094 9.603 Å, 90.00 90.38 90.00°
Space group Cm (No. 8)
Symmetry-distinct sites (fractional):
Li 0.000 0.000 0.000
Li 0.007 0.000 0.490
Li 0.184 0.500 0.104
Li 0.348 0.000 0.596
Cr 0.182 0.500 0.503
Cr 0.344 0.500 0.777
Cr 0.352 0.000 0.009
Cr 0.429 0.246 0.281
Sn 0.098 0.253 0.779
Sn 0.183 0.000 0.278
O 0.008 0.000 0.184
O 0.008 0.000 0.675
O 0.034 0.500 0.642
O 0.092 0.249 0.393
O 0.177 0.000 0.899
O 0.185 0.500 0.894
O 0.256 0.282 0.647
O 0.279 0.223 0.149
O 0.347 0.500 0.383
O 0.352 0.000 0.390
O 0.430 0.255 0.893
O 0.492 0.000 0.159